Starting from a structure optimized by DFT (GGA+U), the powder diffractogram of Tl2CoAgF8 was calculated for Cu Ka.

a = 6.7041 Å, b = 6.7041 Å, c = 6.7041 Å
α = 114.83°, β = 114.83°, γ = 99.21°
Atoms (fractional coordinates):
1 Tl 0.0000 0.0000 0.0000
2 Tl 0.7500 0.2500 0.5000
3 Co 0.2500 0.7500 0.5000
4 Ag 0.5000 0.5000 0.0000
5 F 0.0323 0.7796 0.2527
6 F 0.1299 0.4317 0.6982
7 F 0.2204 0.4730 0.2527
8 F 0.2204 0.9677 0.7473
9 F 0.5270 0.7796 0.7473
10 F 0.5683 0.2665 0.6982
11 F 0.5683 0.8701 0.3018
12 F 0.7335 0.4317 0.3018

Most intense lines, 2θ = 10–80°, most intense first:
| Position (°2θ) | Rel. int. |
| --- | --- |
| 26.95 | 100 |
| 24.66 | 68 |
| 44.84 | 56 |
| 29.51 | 22 |
| 48.94 | 21 |
| 15.96 | 19 |
| 35.15 | 15 |
| 58.22 | 14 |
| 50.56 | 14 |
| 69.86 | 13 |